Record 1
This entry pairs a crystal structure of La7Ho3Cd with its simulated powder diffraction line list. Radiation: Cu Ka. Structure: a structure optimized by DFT (PBE).
Lines closer than 0.1° are merged.

Cell lengths 7.7871, 7.7871, 6.5228 Å; angles 91.19, 91.19, 84.21 degrees
Positions (direct):
La 0.0000 0.0000 0.0000
La 0.0410 0.3899 0.7188
La 0.2586 0.2586 0.1986
La 0.3899 0.0410 0.7188
La 0.6101 0.9590 0.2812
La 0.7414 0.7414 0.8014
La 0.9590 0.6101 0.2812
Ho 0.3392 0.6608 0.0000
Ho 0.5000 0.5000 0.5000
Ho 0.6608 0.3392 0.0000
Cd 0.0000 0.0000 0.5000

The 10 most intense peaks (10 to 80 degrees two-theta), in order of falling intensity:
d_spacing	two_theta	I_rel
2.978	30.01	100.0
2.874	31.12	54.5
2.888	30.97	46.3
2.806	31.90	41.9
2.386	37.71	40.0
2.582	34.74	22.7
1.678	54.69	21.3
1.491	62.28	20.0
3.303	27.00	19.9
1.858	49.03	17.7



Record 2
This entry pairs a crystal structure of Sc6Tl3Ga with its simulated powder diffraction line list. Radiation: Cu Ka. Structure: a structure optimized by DFT (PBE).
Lines closer than 0.1° are merged.

Cell lengths 5.6972, 8.5282, 11.5537 Å; angles 90.00, 119.35, 90.00 degrees
Positions (direct):
Sc 0.0281 0.1933 0.4365
Sc 0.0281 0.3067 0.9365
Sc 0.3358 0.6686 0.4424
Sc 0.3358 0.8314 0.9424
Sc 0.3811 0.0905 0.2386
Sc 0.3811 0.4095 0.7386
Sc 0.6189 0.5905 0.2614
Sc 0.6189 0.9095 0.7614
Sc 0.6642 0.1686 0.0576
Sc 0.6642 0.3314 0.5576
Sc 0.9719 0.6933 0.0635
Sc 0.9719 0.8067 0.5635
Tl 0.1436 0.0968 0.7451
Tl 0.1436 0.4032 0.2451
Tl 0.5000 0.0000 0.5000
Tl 0.5000 0.5000 0.0000
Tl 0.8564 0.5968 0.7549
Tl 0.8564 0.9032 0.2549
Ga 0.0000 0.0000 0.0000
Ga 0.0000 0.5000 0.5000

The 10 most intense peaks (10 to 80 degrees two-theta), in order of falling intensity:
d_spacing	two_theta	I_rel
3.450	25.82	100.0
2.611	34.35	46.4
2.826	31.66	36.3
2.739	32.70	33.7
2.518	35.66	32.5
4.953	17.91	32.1
2.466	36.43	30.6
2.544	35.28	26.7
4.264	20.83	23.5
4.286	20.72	23.0



Record 3
This entry pairs a crystal structure of Tb3Zn9Ni2 with its simulated powder diffraction line list. Radiation: Cu Ka. Structure: a structure optimized by DFT (PBE).
Lines closer than 0.1° are merged.

Cell lengths 8.0419, 8.0419, 8.0419 Å; angles 149.18, 111.83, 76.66 degrees
Positions (direct):
Tb 0.0000 0.0000 0.0000
Tb 0.3071 0.3071 0.0000
Tb 0.6929 0.6929 0.0000
Zn 0.0187 0.6611 0.3576
Zn 0.1574 0.8752 0.2822
Zn 0.3035 0.6611 0.6424
Zn 0.4070 0.1248 0.2822
Zn 0.5000 0.0000 0.5000
Zn 0.5930 0.8752 0.7178
Zn 0.6965 0.3389 0.3576
Zn 0.8426 0.1248 0.7178
Zn 0.9813 0.3389 0.6424
Ni 0.3118 0.5000 0.8118
Ni 0.6882 0.5000 0.1882

The 10 most intense peaks (10 to 80 degrees two-theta), in order of falling intensity:
d_spacing	two_theta	I_rel
2.496	35.98	100.0
2.444	36.77	56.6
2.137	42.30	47.1
2.458	36.56	45.0
2.998	29.81	33.0
2.584	34.71	24.3
2.290	39.34	21.9
1.609	57.26	19.1
2.103	43.01	18.9
2.173	41.56	16.6